Computed X-ray powder pattern of LiBe2PbF8 for λ = 1.5418 Å (Cu Kα), from a cell relaxed with PBE.

Cell and atoms:
a b c (Å): 4.974 4.974 6.933
angles (deg): 92.81 92.81 67.47
Fractional coordinates of all 12 atoms:
Li 0.000 0.000 0.000
Be 0.345 0.345 0.244
Be 0.655 0.655 0.756
Pb 0.000 0.000 0.500
F 0.217 0.217 0.086
F 0.224 0.693 0.245
F 0.273 0.273 0.455
F 0.307 0.776 0.755
F 0.693 0.224 0.245
F 0.727 0.727 0.545
F 0.776 0.307 0.755
F 0.783 0.783 0.914

Principal peaks in the range 10° ≤ 2θ ≤ 80°, low angle first:
Position (°2θ)  I_rel
12.8  100
19.3  78
21.5  31
22.9  26
23.6  70
24.4  34
25.8  25
31.9  34
32.9  25
41.8  46